This entry pairs a crystal structure of LaAg5 with its computed PXRD pattern. Radiation: λ = 1.5418 Å (Cu Kα). Structure: DFT lattice parameters and positions (PBE).
Lines closer than 0.1° are merged.

Largest 10 diffraction maxima, low angle first, 2θ from 5° to 70°:
2θ = 31.59°, rel. 34.7, (1 1 0); 2θ = 34.26°, rel. 81.7, (0 1 3); 2θ = 37.18°, rel. 98.7, (1 1 2); 2θ = 37.94°, rel. 100.0, (2 0 1); 2θ = 41.64°, rel. 21.6, (2 0 2); 2θ = 43.12°, rel. 16.5, (1 0 4); 2θ = 57.98°, rel. 31.3, (1 2 3); 2θ = 59.97°, rel. 23.2, (3 0 2); 2θ = 62.76°, rel. 26.1, (2 0 5); 2θ = 65.96°, rel. 30.2, (2 2 0)

Crystal structure
Unit cell a=5.6650 b=5.6650 c=9.2842 alpha=90.00 beta=90.00 gamma=120.00
Space group P-3m1 (No. 164)
Symmetry-distinct sites (fractional):
La1 0.3333 0.6667 0.0897 (multiplicity 2)
Ag1 0.0000 0.0000 0.0000 (multiplicity 1)
Ag2 0.0000 0.0000 0.5000 (multiplicity 1)
Ag3 0.1702 0.3403 0.7384 (multiplicity 6)
Ag4 0.3333 0.6667 0.4486 (multiplicity 2)